Entry 1:
For TlGaSe3, a cell relaxed with GGA-PBE gives the calculated X-ray powder pattern in this record (Cu Ka).

Crystal structure
```
data_TlGaSe3
_chemical_formula_sum 'Tl1 Ga1 Se3'
_cell_length_a 3.975
_cell_length_b 5.509
_cell_length_c 6.944
_cell_angle_alpha 89.14
_cell_angle_beta 78.14
_cell_angle_gamma 89.15
_space_group_name_H-M_alt 'P 1'
_space_group_IT_number 1
loop_
_space_group_symop_operation_xyz
'x,y,z'
loop_
_atom_site_label
_atom_site_type_symbol
_atom_site_fract_x
_atom_site_fract_y
_atom_site_fract_z
Tl1 Tl 0.000 0.000 0.000
Ga1 Ga 0.729 0.461 0.396
Se1 Se 0.323 0.502 0.173
Se2 Se 0.641 0.758 0.661
Se3 Se 0.981 0.072 0.475
```

Most intense lines, 10° ≤ 2θ ≤ 90°, in order of rising 2θ:
2θ 20.9, intensity 97
2θ 22.9, intensity 49
2θ 27.9, intensity 62
2θ 28.2, intensity 100
2θ 28.7, intensity 74
2θ 30.8, intensity 95
2θ 31.2, intensity 69
2θ 32.5, intensity 52
2θ 35.0, intensity 85
2θ 35.6, intensity 64
2θ 38.6, intensity 51
2θ 51.3, intensity 70

Entry 2:
For Tm6Ga3Se, a cell relaxed with GGA-PBE gives the calculated X-ray powder pattern in this record (Cu Ka).

Crystal structure
```
data_Tm6Ga3Se
_chemical_formula_sum 'Tm12 Ga6 Se2'
_cell_length_a 8.937
_cell_length_b 8.937
_cell_length_c 7.103
_cell_angle_alpha 90.00
_cell_angle_beta 90.00
_cell_angle_gamma 103.94
_space_group_name_H-M_alt 'P 1'
_space_group_IT_number 1
loop_
_space_group_symop_operation_xyz
'x,y,z'
loop_
_atom_site_label
_atom_site_type_symbol
_atom_site_fract_x
_atom_site_fract_y
_atom_site_fract_z
Tm1 Tm 0.006 0.994 0.500
Tm2 Tm 0.096 0.566 0.450
Tm3 Tm 0.244 0.756 0.882
Tm4 Tm 0.303 0.362 0.918
Tm5 Tm 0.362 0.303 0.418
Tm6 Tm 0.434 0.904 0.450
Tm7 Tm 0.566 0.096 0.950
Tm8 Tm 0.638 0.697 0.918
Tm9 Tm 0.697 0.638 0.418
Tm10 Tm 0.756 0.244 0.382
Tm11 Tm 0.904 0.434 0.950
Tm12 Tm 0.994 0.006 0.000
Ga1 Ga 0.070 0.291 0.221
Ga2 Ga 0.291 0.070 0.721
Ga3 Ga 0.401 0.599 0.629
Ga4 Ga 0.599 0.401 0.129
Ga5 Ga 0.709 0.930 0.221
Ga6 Ga 0.930 0.709 0.721
Se1 Se 0.160 0.840 0.234
Se2 Se 0.840 0.160 0.734
```

Most intense lines, 10° ≤ 2θ ≤ 90°, in order of rising 2θ:
2θ 25.1, intensity 74
2θ 25.3, intensity 39
2θ 28.1, intensity 45
2θ 32.6, intensity 23
2θ 33.5, intensity 100
2θ 35.8, intensity 53
2θ 35.9, intensity 78
2θ 40.4, intensity 34
2θ 43.6, intensity 22
2θ 49.7, intensity 37
2θ 53.5, intensity 27
2θ 62.8, intensity 29

Entry 3:
For GaW4Se8, a cell relaxed with GGA-PBE gives the calculated X-ray powder pattern in this record (Cu Ka).

Crystal structure
```
data_GaW4Se8
_chemical_formula_sum 'Ga1 W4 Se8'
_cell_length_a 8.927
_cell_length_b 8.927
_cell_length_c 8.927
_cell_angle_alpha 43.63
_cell_angle_beta 43.63
_cell_angle_gamma 43.63
_space_group_name_H-M_alt 'P 1'
_space_group_IT_number 1
loop_
_space_group_symop_operation_xyz
'x,y,z'
loop_
_atom_site_label
_atom_site_type_symbol
_atom_site_fract_x
_atom_site_fract_y
_atom_site_fract_z
Ga1 Ga 0.000 0.000 0.000
W1 W 0.000 0.000 0.500
W2 W 0.000 0.500 0.000
W3 W 0.500 0.000 0.000
W4 W 0.500 0.500 0.500
Se1 Se 0.238 0.238 0.238
Se2 Se 0.238 0.738 0.738
Se3 Se 0.262 0.262 0.762
Se4 Se 0.262 0.762 0.262
Se5 Se 0.738 0.238 0.738
Se6 Se 0.738 0.738 0.238
Se7 Se 0.762 0.262 0.262
Se8 Se 0.762 0.762 0.762
```

Most intense lines, 10° ≤ 2θ ≤ 90°, in order of rising 2θ:
2θ 11.0, intensity 100
2θ 31.4, intensity 15
2θ 34.6, intensity 63
2θ 40.8, intensity 19
2θ 43.4, intensity 30
2θ 45.0, intensity 7
2θ 52.4, intensity 12
2θ 55.4, intensity 17
2θ 56.6, intensity 10
2θ 66.9, intensity 9
2θ 74.0, intensity 10
2θ 83.6, intensity 8

Entry 4:
For Y2GaSe4, a cell relaxed with GGA-PBE gives the calculated X-ray powder pattern in this record (Cu Ka).

Crystal structure
```
data_Y2GaSe4
_chemical_formula_sum 'Y4 Ga2 Se8'
_cell_length_a 14.708
_cell_length_b 4.061
_cell_length_c 7.225
_cell_angle_alpha 90.00
_cell_angle_beta 117.86
_cell_angle_gamma 90.00
_space_group_name_H-M_alt 'P 1'
_space_group_IT_number 1
loop_
_space_group_symop_operation_xyz
'x,y,z'
loop_
_atom_site_label
_atom_site_type_symbol
_atom_site_fract_x
_atom_site_fract_y
_atom_site_fract_z
Y1 Y 0.231 0.000 0.219
Y2 Y 0.269 0.500 0.781
Y3 Y 0.731 0.500 0.219
Y4 Y 0.769 0.000 0.781
Ga1 Ga 0.000 0.500 0.500
Ga2 Ga 0.500 0.000 0.500
Se1 Se 0.118 0.500 0.934
Se2 Se 0.134 0.000 0.485
Se3 Se 0.366 0.500 0.515
Se4 Se 0.382 0.000 0.066
Se5 Se 0.618 0.000 0.934
Se6 Se 0.634 0.500 0.485
Se7 Se 0.866 0.000 0.515
Se8 Se 0.882 0.500 0.066
```

Most intense lines, 10° ≤ 2θ ≤ 90°, in order of rising 2θ:
2θ 13.6, intensity 17
2θ 28.6, intensity 100
2θ 28.9, intensity 14
2θ 30.2, intensity 12
2θ 36.7, intensity 16
2θ 37.3, intensity 35
2θ 37.8, intensity 55
2θ 43.7, intensity 45
2θ 44.6, intensity 23
2θ 49.6, intensity 14
2θ 53.9, intensity 11
2θ 59.8, intensity 12

Entry 5:
For YbGa2Se4, a cell relaxed with GGA-PBE gives the calculated X-ray powder pattern in this record (Cu Ka).

Crystal structure
```
data_YbGa2Se4
_chemical_formula_sum 'Yb2 Ga4 Se8'
_cell_length_a 6.188
_cell_length_b 6.188
_cell_length_c 10.660
_cell_angle_alpha 90.00
_cell_angle_beta 90.00
_cell_angle_gamma 118.26
_space_group_name_H-M_alt 'P 1'
_space_group_IT_number 1
loop_
_space_group_symop_operation_xyz
'x,y,z'
loop_
_atom_site_label
_atom_site_type_symbol
_atom_site_fract_x
_atom_site_fract_y
_atom_site_fract_z
Yb1 Yb 0.000 0.000 0.250
Yb2 Yb 0.000 0.000 0.750
Ga1 Ga 0.264 0.732 0.000
Ga2 Ga 0.268 0.736 0.500
Ga3 Ga 0.732 0.264 0.500
Ga4 Ga 0.736 0.268 0.000
Se1 Se 0.000 0.500 0.176
Se2 Se 0.000 0.500 0.824
Se3 Se 0.150 0.300 0.500
Se4 Se 0.300 0.150 0.000
Se5 Se 0.500 0.000 0.324
Se6 Se 0.500 0.000 0.676
Se7 Se 0.700 0.850 0.000
Se8 Se 0.850 0.700 0.500
```

Most intense lines, 10° ≤ 2θ ≤ 90°, in order of rising 2θ:
2θ 16.3, intensity 49
2θ 23.3, intensity 35
2θ 28.9, intensity 18
2θ 30.1, intensity 73
2θ 33.6, intensity 24
2θ 33.8, intensity 22
2θ 37.0, intensity 100
2θ 48.3, intensity 17
2θ 51.0, intensity 15
2θ 52.1, intensity 21
2θ 56.9, intensity 18
2θ 68.9, intensity 13

Entry 6:
For Zn3GaSe4, a cell relaxed with GGA-PBE gives the calculated X-ray powder pattern in this record (Cu Ka).

Crystal structure
```
data_Zn3GaSe4
_chemical_formula_sum 'Zn3 Ga1 Se4'
_cell_length_a 13.723
_cell_length_b 13.723
_cell_length_c 13.723
_cell_angle_alpha 17.32
_cell_angle_beta 17.32
_cell_angle_gamma 17.32
_space_group_name_H-M_alt 'P 1'
_space_group_IT_number 1
loop_
_space_group_symop_operation_xyz
'x,y,z'
loop_
_atom_site_label
_atom_site_type_symbol
_atom_site_fract_x
_atom_site_fract_y
_atom_site_fract_z
Zn1 Zn 0.000 0.000 0.000
Zn2 Zn 0.252 0.252 0.252
Zn3 Zn 0.505 0.505 0.505
Ga1 Ga 0.752 0.752 0.752
Se1 Se 0.191 0.191 0.191
Se2 Se 0.443 0.443 0.443
Se3 Se 0.687 0.687 0.687
Se4 Se 0.939 0.939 0.939
```

Most intense lines, 10° ≤ 2θ ≤ 90°, in order of rising 2θ:
2θ 26.4, intensity 100
2θ 43.8, intensity 74
2θ 49.7, intensity 1
2θ 51.9, intensity 44
2θ 63.7, intensity 11
2θ 70.1, intensity 8
2θ 70.2, intensity 9
2θ 80.5, intensity 17
2θ 80.5, intensity 6
2θ 86.4, intensity 3
2θ 86.5, intensity 10
2θ 88.8, intensity 1

Copy entry 2 word for word.
For Tm6Ga3Se, a cell relaxed with GGA-PBE gives the calculated X-ray powder pattern in this record (Cu Ka).

Crystal structure
```
data_Tm6Ga3Se
_chemical_formula_sum 'Tm12 Ga6 Se2'
_cell_length_a 8.937
_cell_length_b 8.937
_cell_length_c 7.103
_cell_angle_alpha 90.00
_cell_angle_beta 90.00
_cell_angle_gamma 103.94
_space_group_name_H-M_alt 'P 1'
_space_group_IT_number 1
loop_
_space_group_symop_operation_xyz
'x,y,z'
loop_
_atom_site_label
_atom_site_type_symbol
_atom_site_fract_x
_atom_site_fract_y
_atom_site_fract_z
Tm1 Tm 0.006 0.994 0.500
Tm2 Tm 0.096 0.566 0.450
Tm3 Tm 0.244 0.756 0.882
Tm4 Tm 0.303 0.362 0.918
Tm5 Tm 0.362 0.303 0.418
Tm6 Tm 0.434 0.904 0.450
Tm7 Tm 0.566 0.096 0.950
Tm8 Tm 0.638 0.697 0.918
Tm9 Tm 0.697 0.638 0.418
Tm10 Tm 0.756 0.244 0.382
Tm11 Tm 0.904 0.434 0.950
Tm12 Tm 0.994 0.006 0.000
Ga1 Ga 0.070 0.291 0.221
Ga2 Ga 0.291 0.070 0.721
Ga3 Ga 0.401 0.599 0.629
Ga4 Ga 0.599 0.401 0.129
Ga5 Ga 0.709 0.930 0.221
Ga6 Ga 0.930 0.709 0.721
Se1 Se 0.160 0.840 0.234
Se2 Se 0.840 0.160 0.734
```

Most intense lines, 10° ≤ 2θ ≤ 90°, in order of rising 2θ:
2θ 25.1, intensity 74
2θ 25.3, intensity 39
2θ 28.1, intensity 45
2θ 32.6, intensity 23
2θ 33.5, intensity 100
2θ 35.8, intensity 53
2θ 35.9, intensity 78
2θ 40.4, intensity 34
2θ 43.6, intensity 22
2θ 49.7, intensity 37
2θ 53.5, intensity 27
2θ 62.8, intensity 29